(1)
This entry pairs a crystal structure of NiH5Pd5 with its calculated powder diffraction line list. Radiation: Cu Kα (weighted mean of Kα1 and Kα2). Structure: a structure optimized by DFT (GGA-PBE).
Neutral-atom scattering factors, no anomalous dispersion.

Largest 10 diffraction maxima, by angle, 2θ from 10° to 90°:
d = 2.348 Å, rel. 100; d = 2.330 Å, rel. 98; d = 2.041 Å, rel. 34; d = 2.025 Å, rel. 33; d = 2.011 Å, rel. 33; d = 1.432 Å, rel. 21; d = 1.427 Å, rel. 21; d = 1.232 Å, rel. 12; d = 1.225 Å, rel. 24; d = 1.214 Å, rel. 12

Structure:
```
NiH5Pd5
1.0
4.5774 -2.0108 0.0000
4.5774 2.0108 0.0000
-1.8282 0.0000 5.4193
Ni H Pd
1 5 5
direct
0.0000 0.0000 0.0000 Ni
0.1448 0.1448 0.3076 H
0.1468 0.1468 0.8444 H
0.5000 0.5000 0.0000 H
0.8532 0.8532 0.1556 H
0.8552 0.8552 0.6924 H
0.0000 0.0000 0.5000 Pd
0.3338 0.3338 0.1652 Pd
0.3378 0.3378 0.6724 Pd
0.6622 0.6622 0.3276 Pd
0.6662 0.6662 0.8348 Pd
```



(2)
This entry pairs a crystal structure of NiH3Pd2 with its calculated powder diffraction line list. Radiation: Cu Kα (weighted mean of Kα1 and Kα2). Structure: a structure optimized by DFT (GGA-PBE).
Neutral-atom scattering factors, no anomalous dispersion.

Largest 10 diffraction maxima, by angle, 2θ from 10° to 90°:
d = 2.363 Å, rel. 100; d = 2.283 Å, rel. 91; d = 2.076 Å, rel. 35; d = 2.061 Å, rel. 35; d = 1.908 Å, rel. 28; d = 1.405 Å, rel. 19; d = 1.400 Å, rel. 19; d = 1.259 Å, rel. 13; d = 1.253 Å, rel. 12; d = 1.223 Å, rel. 12

Structure:
```
NiH3Pd2
1.0
4.7223 -1.9084 0.0000
4.7223 1.9084 0.0000
-1.6789 0.0000 5.4439
Ni H Pd
2 6 4
direct
0.0013 0.9987 0.7500 Ni
0.9987 0.0013 0.2500 Ni
0.1280 0.1288 0.0620 H
0.1288 0.1280 0.5620 H
0.4875 0.5125 0.7500 H
0.5125 0.4875 0.2500 H
0.8712 0.8720 0.4380 H
0.8720 0.8712 0.9380 H
0.3400 0.3406 0.4201 Pd
0.3406 0.3400 0.9201 Pd
0.6594 0.6600 0.0799 Pd
0.6600 0.6594 0.5799 Pd
```



(3)
This entry pairs a crystal structure of Ni4H8Pd with its calculated powder diffraction line list. Radiation: Cu Kα (weighted mean of Kα1 and Kα2). Structure: a structure optimized by DFT (GGA-PBE).
Neutral-atom scattering factors, no anomalous dispersion.

Largest 10 diffraction maxima, by angle, 2θ from 10° to 90°:
d = 4.201 Å, rel. 33; d = 3.638 Å, rel. 28; d = 2.573 Å, rel. 20; d = 2.194 Å, rel. 100; d = 2.101 Å, rel. 45; d = 1.669 Å, rel. 9; d = 1.400 Å, rel. 31; d = 1.286 Å, rel. 23; d = 1.110 Å, rel. 10; d = 1.097 Å, rel. 15

Structure:
```
Ni4H8Pd
1.0
0.0000 3.6382 3.6382
3.6382 0.0000 3.6382
3.6382 3.6382 0.0000
Ni H Pd
4 8 1
direct
0.1228 0.1228 0.1228 Ni
0.1228 0.1228 0.6317 Ni
0.1228 0.6317 0.1228 Ni
0.6317 0.1228 0.1228 Ni
0.3294 0.8902 0.8902 H
0.3587 0.3587 0.3587 H
0.3587 0.3587 0.9239 H
0.3587 0.9239 0.3587 H
0.8902 0.3294 0.8902 H
0.8902 0.8902 0.3294 H
0.8902 0.8902 0.8902 H
0.9239 0.3587 0.3587 H
0.5000 0.5000 0.5000 Pd
```



(4)
This entry pairs a crystal structure of NiH3Pd with its calculated powder diffraction line list. Radiation: Cu Kα (weighted mean of Kα1 and Kα2). Structure: a structure optimized by DFT (GGA-PBE).
Neutral-atom scattering factors, no anomalous dispersion.

Largest 10 diffraction maxima, by angle, 2θ from 10° to 90°:
d = 4.012 Å, rel. 100; d = 2.560 Å, rel. 32; d = 2.316 Å, rel. 73; d = 2.158 Å, rel. 35; d = 2.006 Å, rel. 13; d = 1.718 Å, rel. 58; d = 1.579 Å, rel. 14; d = 1.305 Å, rel. 13; d = 1.185 Å, rel. 16; d = 1.120 Å, rel. 14

Structure:
```
NiH3Pd
1.0
4.6330 0.0000 0.0000
-2.3165 4.0123 0.0000
0.0000 0.0000 2.5601
Ni H Pd
1 3 1
direct
0.0000 0.0000 0.0000 Ni
0.1498 0.2996 0.5000 H
0.1498 0.8502 0.5000 H
0.7004 0.8502 0.5000 H
0.3333 0.6667 0.0000 Pd
```



(5)
This entry pairs a crystal structure of NiHPd4 with its calculated powder diffraction line list. Radiation: Cu Kα (weighted mean of Kα1 and Kα2). Structure: a structure optimized by DFT (GGA-PBE).
Neutral-atom scattering factors, no anomalous dispersion.

Largest 10 diffraction maxima, by angle, 2θ from 10° to 90°:
d = 2.424 Å, rel. 12; d = 2.369 Å, rel. 13; d = 2.239 Å, rel. 29; d = 2.224 Å, rel. 100; d = 2.033 Å, rel. 39; d = 1.832 Å, rel. 21; d = 1.401 Å, rel. 8; d = 1.398 Å, rel. 15; d = 1.335 Å, rel. 23; d = 1.186 Å, rel. 21

Structure:
```
NiHPd4
1.0
4.8408 0.0000 0.0000
0.0000 2.8028 0.0000
-0.0084 0.0000 11.1947
Ni H Pd
2 2 8
direct
0.0000 0.0000 0.0000 Ni
0.5000 0.5000 0.0000 Ni
0.0000 0.0000 0.5000 H
0.5000 0.5000 0.5000 H
0.1664 0.5000 0.1818 Pd
0.1676 0.5000 0.6094 Pd
0.3324 0.0000 0.3906 Pd
0.3336 0.0000 0.8182 Pd
0.6664 0.0000 0.1818 Pd
0.6676 0.0000 0.6094 Pd
0.8324 0.5000 0.3906 Pd
0.8336 0.5000 0.8182 Pd
```



(6)
This entry pairs a crystal structure of NiH2Pd3 with its calculated powder diffraction line list. Radiation: Cu Kα (weighted mean of Kα1 and Kα2). Structure: a structure optimized by DFT (GGA-PBE).
Neutral-atom scattering factors, no anomalous dispersion.

Largest 10 diffraction maxima, by angle, 2θ from 10° to 90°:
d = 2.316 Å, rel. 100; d = 2.287 Å, rel. 48; d = 2.280 Å, rel. 48; d = 2.004 Å, rel. 65; d = 1.967 Å, rel. 30; d = 1.406 Å, rel. 20; d = 1.402 Å, rel. 29; d = 1.213 Å, rel. 24; d = 1.200 Å, rel. 12; d = 1.198 Å, rel. 11

Structure:
```
NiH2Pd3
1.0
6.0611 -1.4323 0.0000
6.0611 1.4323 0.0000
-5.7458 0.0000 7.2810
Ni H Pd
2 4 6
direct
0.0631 0.0631 0.1918 Ni
0.9369 0.9369 0.8082 Ni
0.0894 0.0894 0.0296 H
0.3917 0.3917 0.6748 H
0.6083 0.6083 0.3252 H
0.9106 0.9106 0.9704 H
0.1916 0.1916 0.5689 Pd
0.3100 0.3100 0.9357 Pd
0.4423 0.4423 0.3139 Pd
0.5577 0.5577 0.6861 Pd
0.6900 0.6900 0.0643 Pd
0.8084 0.8084 0.4311 Pd
```